Record 1
Simulated powder X-ray diffraction pattern
Compound: SrHg3Br8
Radiation: Cu Kα (λ = 1.5418 Å)
Structure: a structure optimized by DFT (PBE)
Lines closer than 0.1° are merged.

Structure:
a b c (Å): 8.2019 8.4290 8.5050
angles (deg): 117.41 98.26 112.03
Space group P-1 (No. 2)
Inequivalent atoms, fractional coordinates:
Sr1 0.0000 0.0000 0.0000
Hg1 0.0000 0.0000 0.5000
Hg2 0.5000 0.5000 0.0000
Hg3 0.5000 0.5000 0.5000
Br1 0.2360 0.9979 0.7450
Br2 0.2452 0.4834 0.2658
Br3 0.2637 0.5048 0.7806
Br4 0.2689 0.0280 0.3052

Largest 10 diffraction maxima, low angle first, 15 to 90 degrees two-theta:
d/Å  Position (°2θ)  I/Imax
3.884  22.9  39
3.849  23.1  44
3.408  26.1  27
3.235  27.6  100
3.152  28.3  92
2.732  32.8  60
2.323  38.8  40
2.197  41.1  33
2.103  43.0  64
2.073  43.7  27

Record 2
Simulated powder X-ray diffraction pattern
Compound: Cs2OsOF6
Radiation: Cu Kα (λ = 1.5418 Å)
Structure: a structure optimized by DFT (PBE)
Lines closer than 0.1° are merged.

Structure:
a b c (Å): 6.6290 6.6290 9.8275
angles (deg): 90.00 90.00 90.00
Space group I4/mmm (No. 139)
Inequivalent atoms, fractional coordinates:
Cs1 0.0000 0.5000 0.2500
Os1 0.0000 0.0000 0.0000
O1 0.0000 0.0000 0.5000
F1 0.0000 0.0000 0.1986
F2 0.2087 0.2087 0.0000

Largest 10 diffraction maxima, low angle first, 15 to 90 degrees two-theta:
d/Å  Position (°2θ)  I/Imax
5.496  16.1  68
3.392  26.3  100
3.314  26.9  47
2.838  31.5  18
2.457  36.6  17
2.344  38.4  30
1.974  46.0  19
1.928  47.1  37
1.696  54.1  19
1.291  73.4  12

Record 3
Simulated powder X-ray diffraction pattern
Compound: TaPPtRhAuI
Radiation: Cu Kα (λ = 1.5418 Å)
Structure: a structure optimized by DFT (PBE)
Lines closer than 0.1° are merged.

Structure:
a b c (Å): 3.6756 4.5177 8.1388
angles (deg): 90.00 102.88 90.00
Space group Pm (No. 6)
Inequivalent atoms, fractional coordinates:
Ta1 0.0000 0.0000 0.0000
P1 0.0340 0.5000 0.7527
Pt1 0.6176 0.5000 0.9462
Rh1 0.3091 0.0000 0.7708
Au1 0.2214 0.5000 0.2099
I1 0.3874 0.0000 0.4186

Largest 10 diffraction maxima, low angle first, 15 to 90 degrees two-theta:
d/Å  Position (°2θ)  I/Imax
3.926  22.6  26
3.580  24.9  46
3.015  29.6  47
2.512  35.8  100
2.282  39.5  42
2.259  39.9  50
2.123  42.6  51
2.119  42.7  51
1.808  50.5  22
1.665  55.2  24

Record 4
Simulated powder X-ray diffraction pattern
Compound: Sr2LiTl2
Radiation: Cu Kα (λ = 1.5418 Å)
Structure: a structure optimized by DFT (PBE)
Lines closer than 0.1° are merged.

Structure:
a b c (Å): 11.7309 5.0636 12.3433
angles (deg): 90.00 117.31 90.00
Space group C2/m (No. 12)
Inequivalent atoms, fractional coordinates:
Sr1 0.0079 0.0000 0.3319
Sr2 0.1912 0.0000 0.1063
Li1 0.2198 0.5000 0.3649
Tl1 0.0081 0.5000 0.8778
Tl2 0.1508 0.5000 0.5734

Largest 10 diffraction maxima, low angle first, 15 to 90 degrees two-theta:
d/Å  Position (°2θ)  I/Imax
4.553  19.5  47
3.936  22.6  27
3.179  28.1  100
3.070  29.1  62
2.932  30.5  25
2.835  31.6  24
2.546  35.2  53
2.532  35.5  42
1.917  47.4  23
1.589  58.0  23

Record 5
Simulated powder X-ray diffraction pattern
Compound: BeMo2Os
Radiation: Cu Kα (λ = 1.5418 Å)
Structure: a structure optimized by DFT (PBE)
Lines closer than 0.1° are merged.

Structure:
a b c (Å): 2.8021 2.8021 6.9806
angles (deg): 90.00 90.00 90.00
Space group P4mm (No. 99)
Inequivalent atoms, fractional coordinates:
Be1 0.0000 0.0000 0.0000
Mo1 0.0000 0.0000 0.5522
Mo2 0.5000 0.5000 0.2362
Os1 0.5000 0.5000 0.8092

Largest 10 diffraction maxima, low angle first, 15 to 90 degrees two-theta:
d/Å  Position (°2θ)  I/Imax
3.490  25.5  17
2.802  31.9  25
2.600  34.5  36
2.327  38.7  16
2.185  41.3  100
1.981  45.8  43
1.509  61.5  16
1.401  66.8  14
1.250  76.2  13
1.179  81.6  28

Record 6
Simulated powder X-ray diffraction pattern
Compound: Hf2In5
Radiation: Cu Kα (λ = 1.5418 Å)
Structure: a structure optimized by DFT (PBE)
Lines closer than 0.1° are merged.

Structure:
a b c (Å): 10.3867 10.3867 3.0667
angles (deg): 90.00 90.00 90.00
Space group P4/mbm (No. 127)
Inequivalent atoms, fractional coordinates:
Hf1 0.1800 0.3200 0.0000
In1 0.0000 0.5000 0.5000
In2 0.0616 0.7917 0.5000

Largest 10 diffraction maxima, low angle first, 15 to 90 degrees two-theta:
d/Å  Position (°2θ)  I/Imax
4.645  19.1  21
2.641  33.9  28
2.559  35.1  71
2.519  35.6  100
2.448  36.7  41
2.354  38.2  22
2.242  40.2  58
2.100  43.1  26
1.448  64.3  19
1.310  72.1  25

Record 7
Simulated powder X-ray diffraction pattern
Compound: BeTl5S4
Radiation: Cu Kα (λ = 1.5418 Å)
Structure: a structure optimized by DFT (PBE)
Lines closer than 0.1° are merged.

Structure:
a b c (Å): 8.0331 9.5451 7.6188
angles (deg): 90.00 90.00 90.00
Space group Pmmn (No. 59, origin choice 2)
Inequivalent atoms, fractional coordinates:
Be1 0.2500 0.2500 0.1282
Tl1 0.0330 0.5600 0.2670
Tl2 0.2500 0.7500 0.8974
S1 0.0387 0.2500 0.2987
S2 0.2500 0.0652 0.9673

Largest 10 diffraction maxima, low angle first, 15 to 90 degrees two-theta:
d/Å  Position (°2θ)  I/Imax
4.776  18.6  36
4.017  22.1  34
3.809  23.4  59
3.330  26.8  35
3.073  29.1  53
2.977  30.0  34
2.936  30.4  100
2.763  32.4  89
2.370  38.0  44
1.779  51.4  49

Record 8
Simulated powder X-ray diffraction pattern
Compound: Tb7O12
Radiation: Cu Kα (λ = 1.5418 Å)
Structure: a structure optimized by DFT (PBE)
Lines closer than 0.1° are merged.

Structure:
a b c (Å): 10.1424 10.1424 9.4066
angles (deg): 90.00 90.00 120.00
Space group R-3 (No. 148, hexagonal axes)
Inequivalent atoms, fractional coordinates:
Tb1 0.0000 0.0000 0.0000
Tb2 0.0483 0.7892 0.6510
O1 0.0385 0.8197 0.3982
O2 0.0444 0.8266 0.8921

Largest 10 diffraction maxima, low angle first, 15 to 90 degrees two-theta:
d/Å  Position (°2θ)  I/Imax
3.132  28.5  100
2.712  33.0  33
1.918  47.4  44
1.636  56.2  39
1.565  59.0  8
1.356  69.3  6
1.245  76.5  7
1.244  76.6  6
1.213  78.9  9
1.107  88.3  8

Record 9
Simulated powder X-ray diffraction pattern
Compound: PmDy6Sc8
Radiation: Cu Kα (λ = 1.5418 Å)
Structure: a structure optimized by DFT (PBE)
Lines closer than 0.1° are merged.

Structure:
a b c (Å): 8.5777 8.5777 19.8510
angles (deg): 90.00 90.00 120.00
Space group R-3 (No. 148, hexagonal axes)
Inequivalent atoms, fractional coordinates:
Pm1 0.0000 0.0000 0.0000
Dy1 0.0603 0.2478 0.7110
Sc1 0.0000 0.0000 0.4254
Sc2 0.0791 0.5572 0.8086

Largest 10 diffraction maxima, low angle first, 15 to 90 degrees two-theta:
d/Å  Position (°2θ)  I/Imax
4.127  21.5  23
3.599  24.7  24
2.780  32.2  65
2.712  33.0  51
2.702  33.2  100
2.649  33.8  42
2.620  34.2  24
2.444  36.8  21
1.621  56.8  30
1.574  58.6  24

Record 10
Simulated powder X-ray diffraction pattern
Compound: Rb2ThPdO4
Radiation: Cu Kα (λ = 1.5418 Å)
Structure: a structure optimized by DFT (PBE)
Lines closer than 0.1° are merged.

Structure:
a b c (Å): 4.2544 8.3592 10.1557
angles (deg): 90.00 90.00 90.00
Space group Pmmn (No. 59, origin choice 2)
Inequivalent atoms, fractional coordinates:
Rb1 0.2500 0.0136 0.1771
Th1 0.2500 0.2500 0.5919
Pd1 0.2500 0.7500 0.6624
O1 0.2500 0.2500 0.3650
O2 0.2500 0.5052 0.6641
O3 0.2500 0.7500 0.3200

Largest 10 diffraction maxima, low angle first, 15 to 90 degrees two-theta:
d/Å  Position (°2θ)  I/Imax
3.865  23.0  81
3.552  25.1  20
3.261  27.3  100
2.861  31.3  71
2.631  34.1  28
2.127  42.5  26
2.090  43.3  23
1.933  47.0  20
1.864  48.9  22
1.760  52.0  40